The following is a theoretical PXRD pattern of AlBPd6. It was derived from the GGA-PBE geometry in Alexandria, using Cu Kα.

Principal peaks in the range 10 to 80 degrees two-theta, low angle first:
h k l  two_theta  d (Å)  I/Imax
1 1 -1  33.3  2.692  23.6
0 0 2  37.1  2.421  33.9
2 -1 0  38.2  2.354  100.0
-2 1 2  38.3  2.348  16.8
0 2 -1  39.1  2.304  10.7
1 1 1  50.7  1.801  15.4
-3 3 1  59.5  1.553  9.6
-1 2 3  67.7  1.384  14.4

Structural model:
Cell lengths 5.3764, 5.3856, 5.7468 Å; angles 90.12, 117.78, 119.87 degrees
Space group P-1 (No. 2)
Inequivalent atoms, fractional coordinates:
Al: 0.0000 0.0000 0.0000 x1
B: 0.0000 0.5000 0.5000 x1
Pd: 0.1871 0.4848 0.2579 x2
Pd: 0.2262 0.2982 0.7420 x2
Pd: 0.4431 0.9278 0.7414 x2